(1)
This entry pairs a crystal structure of HfReAg2S6 with its computed powder X-ray diffraction pattern. Radiation: Cu Ka. Structure: a crystal structure in OQMD, relaxed with PBE.
Kinematic intensities with the Lorentz-polarization factor, no thermal factor.

Crystal structure
a = 6.761 Å, b = 6.761 Å, c = 6.761 Å
α = 60.00°, β = 60.00°, γ = 60.00°
Fractional positions:
Hf  0.000  0.000  0.000
Re  0.500  0.500  0.500
Ag  0.250  0.250  0.250
Ag  0.750  0.750  0.750
S  0.257  0.257  0.743
S  0.257  0.743  0.257
S  0.257  0.743  0.743
S  0.743  0.257  0.257
S  0.743  0.257  0.743
S  0.743  0.743  0.257

Most intense lines, 2θ from 5° to 70°, in order of falling intensity:
26.37 deg, intensity 100; 37.63 deg, intensity 45; 46.53 deg, intensity 44; 54.27 deg, intensity 30; 61.32 deg, intensity 19; 18.56 deg, intensity 18; 67.92 deg, intensity 10; 42.27 deg, intensity 9; 57.87 deg, intensity 4; 32.44 deg, intensity 1

***

(2)
This entry pairs a crystal structure of Tb3Pd5 with its computed powder X-ray diffraction pattern. Radiation: Cu Ka. Structure: a crystal structure in OQMD, relaxed with PBE.
Kinematic intensities with the Lorentz-polarization factor, no thermal factor.

Crystal structure
a = 5.823 Å, b = 5.823 Å, c = 9.647 Å
α = 90.00°, β = 90.00°, γ = 75.68°
Fractional positions:
Tb  0.119  0.881  0.750
Tb  0.297  0.297  0.000
Tb  0.297  0.297  0.500
Tb  0.703  0.703  0.000
Tb  0.703  0.703  0.500
Tb  0.881  0.119  0.250
Pd  0.007  0.441  0.750
Pd  0.187  0.813  0.047
Pd  0.187  0.813  0.453
Pd  0.441  0.007  0.250
Pd  0.481  0.519  0.250
Pd  0.519  0.481  0.750
Pd  0.559  0.993  0.750
Pd  0.813  0.187  0.547
Pd  0.813  0.187  0.953
Pd  0.993  0.559  0.250

Most intense lines, 2θ from 5° to 70°, in order of falling intensity:
36.92 deg, intensity 100; 37.28 deg, intensity 32; 42.65 deg, intensity 31; 55.16 deg, intensity 25; 39.18 deg, intensity 22; 39.07 deg, intensity 19; 33.10 deg, intensity 15; 31.76 deg, intensity 14; 67.01 deg, intensity 13; 32.04 deg, intensity 11

***

(3)
This entry pairs a crystal structure of ZnCu2As with its computed powder X-ray diffraction pattern. Radiation: Cu Ka. Structure: a crystal structure in OQMD, relaxed with PBE.
Kinematic intensities with the Lorentz-polarization factor, no thermal factor.

Crystal structure
a = 6.104 Å, b = 6.104 Å, c = 6.104 Å
α = 90.00°, β = 90.00°, γ = 90.00°
Fractional positions:
Zn  0.000  0.000  0.000
Zn  0.000  0.000  0.500
Zn  0.000  0.500  0.000
Zn  0.500  0.000  0.000
Cu  0.241  0.241  0.241
Cu  0.241  0.241  0.759
Cu  0.241  0.759  0.241
Cu  0.241  0.759  0.759
Cu  0.759  0.241  0.241
Cu  0.759  0.241  0.759
Cu  0.759  0.759  0.241
Cu  0.759  0.759  0.759
As  0.000  0.500  0.500
As  0.500  0.000  0.500
As  0.500  0.500  0.000
As  0.500  0.500  0.500

Most intense lines, 2θ from 5° to 70°, in order of falling intensity:
41.86 deg, intensity 100; 60.69 deg, intensity 15; 32.81 deg, intensity 1; 62.76 deg, intensity 1

***

(4)
This entry pairs a crystal structure of CsAuClF2 with its computed powder X-ray diffraction pattern. Radiation: Cu Ka. Structure: a crystal structure in OQMD, relaxed with PBE.
Kinematic intensities with the Lorentz-polarization factor, no thermal factor.

Crystal structure
a = 7.066 Å, b = 7.066 Å, c = 7.066 Å
α = 122.57°, β = 122.57°, γ = 85.61°
Fractional positions:
Cs  0.250  0.750  0.500
Cs  0.750  0.250  0.500
Au  0.000  0.000  0.000
Au  0.500  0.500  0.000
Cl  0.220  0.220  0.000
Cl  0.780  0.780  0.000
F  0.292  0.292  0.584
F  0.292  0.708  0.000
F  0.708  0.292  0.000
F  0.708  0.708  0.416

Most intense lines, 2θ from 5° to 70°, in order of falling intensity:
25.28 deg, intensity 100; 26.25 deg, intensity 57; 45.74 deg, intensity 40; 37.46 deg, intensity 32; 43.95 deg, intensity 27; 51.92 deg, intensity 23; 34.61 deg, intensity 20; 18.48 deg, intensity 14; 69.87 deg, intensity 13; 56.61 deg, intensity 13

***

(5)
This entry pairs a crystal structure of CdAu15 with its computed powder X-ray diffraction pattern. Radiation: Cu Ka. Structure: a crystal structure in OQMD, relaxed with PBE.
Kinematic intensities with the Lorentz-polarization factor, no thermal factor.

Crystal structure
a = 4.134 Å, b = 4.136 Å, c = 47.268 Å
α = 90.00°, β = 90.00°, γ = 90.00°
Fractional positions:
Cd  0.250  0.000  0.161
Cd  0.750  0.000  0.839
Au  0.250  0.000  0.254
Au  0.250  0.000  0.344
Au  0.250  0.000  0.433
Au  0.250  0.000  0.522
Au  0.250  0.000  0.612
Au  0.250  0.000  0.701
Au  0.250  0.000  0.791
Au  0.250  0.500  0.209
Au  0.250  0.500  0.299
Au  0.250  0.500  0.388
Au  0.250  0.500  0.478
Au  0.250  0.500  0.567
Au  0.250  0.500  0.657
Au  0.250  0.500  0.746
Au  0.250  0.500  0.835
Au  0.750  0.000  0.209
Au  0.750  0.000  0.299
Au  0.750  0.000  0.388
Au  0.750  0.000  0.478
Au  0.750  0.000  0.567
Au  0.750  0.000  0.656
Au  0.750  0.000  0.746
Au  0.750  0.500  0.165
Au  0.750  0.500  0.254
Au  0.750  0.500  0.343
Au  0.750  0.500  0.433
Au  0.750  0.500  0.522
Au  0.750  0.500  0.612
Au  0.750  0.500  0.701
Au  0.750  0.500  0.791

Most intense lines, 2θ from 5° to 70°, in order of falling intensity:
37.19 deg, intensity 100; 43.79 deg, intensity 43; 38.34 deg, intensity 28; 62.32 deg, intensity 19; 42.05 deg, intensity 15; 63.65 deg, intensity 14; 63.86 deg, intensity 12; 44.06 deg, intensity 8; 35.13 deg, intensity 5; 36.12 deg, intensity 5

***

(6)
This entry pairs a crystal structure of Hf3In2Hg2 with its computed powder X-ray diffraction pattern. Radiation: Cu Ka. Structure: a crystal structure in OQMD, relaxed with PBE.
Kinematic intensities with the Lorentz-polarization factor, no thermal factor.

Crystal structure
a = 8.418 Å, b = 8.418 Å, c = 8.418 Å
α = 33.73°, β = 33.73°, γ = 33.73°
Fractional positions:
Hf  0.000  0.000  0.000
Hf  0.255  0.255  0.255
Hf  0.511  0.511  0.511
In  0.124  0.124  0.124
In  0.638  0.638  0.638
Hg  0.388  0.388  0.388
Hg  0.867  0.867  0.867

Most intense lines, 2θ from 5° to 70°, in order of falling intensity:
36.80 deg, intensity 100; 36.94 deg, intensity 85; 66.34 deg, intensity 49; 53.13 deg, intensity 30; 33.83 deg, intensity 20; 22.30 deg, intensity 13; 66.66 deg, intensity 9; 28.22 deg, intensity 9; 43.50 deg, intensity 9; 50.85 deg, intensity 8

***

(7)
This entry pairs a crystal structure of Ho3ErIn2B2 with its computed powder X-ray diffraction pattern. Radiation: Cu Ka. Structure: a crystal structure in OQMD, relaxed with PBE.
Kinematic intensities with the Lorentz-polarization factor, no thermal factor.

Crystal structure
a = 3.596 Å, b = 3.596 Å, c = 16.868 Å
α = 90.00°, β = 90.00°, γ = 120.00°
Fractional positions:
Ho  0.000  0.000  0.000
Ho  0.000  0.000  0.317
Ho  0.333  0.667  0.816
Er  0.333  0.667  0.500
In  0.000  0.000  0.657
In  0.333  0.667  0.159
B  0.667  0.333  0.409
B  0.667  0.333  0.908

Most intense lines, 2θ from 5° to 70°, in order of falling intensity:
32.88 deg, intensity 100; 28.66 deg, intensity 22; 31.83 deg, intensity 22; 50.78 deg, intensity 21; 61.19 deg, intensity 20; 57.38 deg, intensity 17; 61.83 deg, intensity 16; 43.36 deg, intensity 16; 68.94 deg, intensity 4; 47.72 deg, intensity 4

***

(8)
This entry pairs a crystal structure of Cd4H2Se2Cl4O7 with its computed powder X-ray diffraction pattern. Radiation: Cu Ka. Structure: a crystal structure in OQMD, relaxed with PBE.
Kinematic intensities with the Lorentz-polarization factor, no thermal factor.

Crystal structure
a = 13.568 Å, b = 10.899 Å, c = 9.558 Å
α = 82.82°, β = 52.84°, γ = 44.34°
Fractional positions:
Cd  0.000  0.000  0.500
Cd  0.082  0.310  0.690
Cd  0.250  0.250  0.250
Cd  0.310  0.082  0.918
Cd  0.500  0.500  0.000
Cd  0.690  0.918  0.082
Cd  0.750  0.750  0.750
Cd  0.918  0.690  0.310
H  0.089  0.835  0.165
H  0.165  0.911  0.089
H  0.835  0.089  0.911
H  0.911  0.165  0.835
Se  0.243  0.513  0.487
Se  0.487  0.757  0.243
Se  0.513  0.243  0.757
Se  0.757  0.487  0.513
Cl  0.055  0.589  0.945
Cl  0.187  0.712  0.813
Cl  0.288  0.813  0.712
Cl  0.411  0.945  0.589
Cl  0.589  0.055  0.411
Cl  0.712  0.187  0.288
Cl  0.813  0.288  0.187
Cl  0.945  0.411  0.055
O  0.048  0.777  0.600
O  0.112  0.480  0.520
O  0.161  0.839  0.161
O  0.223  0.952  0.424
O  0.400  0.424  0.952
O  0.424  0.400  0.223
O  0.480  0.112  0.888
O  0.520  0.888  0.112
O  0.576  0.600  0.777
O  0.600  0.576  0.048
O  0.777  0.048  0.576
O  0.839  0.161  0.839
O  0.888  0.520  0.480
O  0.952  0.223  0.400

Most intense lines, 2θ from 5° to 70°, in order of falling intensity:
31.99 deg, intensity 100; 25.43 deg, intensity 39; 26.58 deg, intensity 29; 8.60 deg, intensity 27; 19.96 deg, intensity 24; 9.99 deg, intensity 22; 29.22 deg, intensity 20; 36.39 deg, intensity 18; 53.68 deg, intensity 16; 35.70 deg, intensity 15

***

(9)
This entry pairs a crystal structure of Gd2YMg4Al2 with its computed powder X-ray diffraction pattern. Radiation: Cu Ka. Structure: a crystal structure in OQMD, relaxed with PBE.
Kinematic intensities with the Lorentz-polarization factor, no thermal factor.

Crystal structure
a = 4.583 Å, b = 7.508 Å, c = 7.508 Å
α = 119.82°, β = 90.00°, γ = 90.00°
Fractional positions:
Gd  0.000  0.217  0.783
Gd  0.000  0.783  0.217
Y  0.000  0.348  0.348
Mg  0.000  0.781  0.781
Mg  0.500  0.032  0.032
Mg  0.500  0.533  0.782
Mg  0.500  0.782  0.533
Al  0.500  0.117  0.449
Al  0.500  0.449  0.117

Most intense lines, 2θ from 5° to 70°, in order of falling intensity:
33.78 deg, intensity 100; 30.77 deg, intensity 76; 27.41 deg, intensity 46; 19.37 deg, intensity 36; 54.74 deg, intensity 34; 13.62 deg, intensity 31; 23.67 deg, intensity 28; 54.61 deg, intensity 25; 65.83 deg, intensity 25; 39.31 deg, intensity 22

***

(10)
This entry pairs a crystal structure of Al4Ni11 with its computed powder X-ray diffraction pattern. Radiation: Cu Ka. Structure: a crystal structure in OQMD, relaxed with PBE.
Kinematic intensities with the Lorentz-polarization factor, no thermal factor.

Crystal structure
a = 8.638 Å, b = 8.638 Å, c = 4.654 Å
α = 90.00°, β = 90.00°, γ = 90.00°
Fractional positions:
Al  0.041  0.354  0.000
Al  0.146  0.541  0.500
Al  0.354  0.041  0.000
Al  0.459  0.854  0.500
Al  0.541  0.146  0.500
Al  0.646  0.959  0.000
Al  0.854  0.459  0.500
Al  0.959  0.646  0.000
Ni  0.000  0.000  0.500
Ni  0.064  0.266  0.500
Ni  0.094  0.094  0.000
Ni  0.183  0.817  0.250
Ni  0.183  0.817  0.750
Ni  0.234  0.564  0.000
Ni  0.266  0.064  0.500
Ni  0.317  0.317  0.250
Ni  0.317  0.317  0.750
Ni  0.406  0.594  0.500
Ni  0.436  0.766  0.000
Ni  0.500  0.500  0.000
Ni  0.564  0.234  0.000
Ni  0.594  0.406  0.500
Ni  0.683  0.683  0.250
Ni  0.683  0.683  0.750
Ni  0.734  0.936  0.500
Ni  0.766  0.436  0.000
Ni  0.817  0.183  0.250
Ni  0.817  0.183  0.750
Ni  0.906  0.906  0.000
Ni  0.936  0.734  0.500

Most intense lines, 2θ from 5° to 70°, in order of falling intensity:
43.18 deg, intensity 100; 45.50 deg, intensity 84; 47.60 deg, intensity 64; 48.82 deg, intensity 44; 14.50 deg, intensity 41; 44.50 deg, intensity 33; 44.21 deg, intensity 32; 51.59 deg, intensity 20; 49.23 deg, intensity 16; 38.69 deg, intensity 14

***

(11)
This entry pairs a crystal structure of Cs2RbFeBr6 with its computed powder X-ray diffraction pattern. Radiation: Cu Ka. Structure: a crystal structure in OQMD, relaxed with PBE.
Kinematic intensities with the Lorentz-polarization factor, no thermal factor.

Crystal structure
a = 8.219 Å, b = 8.219 Å, c = 8.219 Å
α = 60.00°, β = 60.00°, γ = 60.00°
Fractional positions:
Cs  0.250  0.250  0.250
Cs  0.750  0.750  0.750
Rb  0.000  0.000  0.000
Fe  0.500  0.500  0.500
Br  0.280  0.280  0.720
Br  0.280  0.720  0.280
Br  0.280  0.720  0.720
Br  0.720  0.280  0.280
Br  0.720  0.280  0.720
Br  0.720  0.720  0.280

Most intense lines, 2θ from 5° to 70°, in order of falling intensity:
30.77 deg, intensity 100; 26.56 deg, intensity 88; 44.07 deg, intensity 65; 21.62 deg, intensity 46; 52.20 deg, intensity 29; 54.71 deg, intensity 20; 49.60 deg, intensity 17; 37.92 deg, intensity 15; 59.51 deg, intensity 15; 40.32 deg, intensity 14

***

(12)
This entry pairs a crystal structure of PrNdB2Pd2Pt6 with its computed powder X-ray diffraction pattern. Radiation: Cu Ka. Structure: a crystal structure in OQMD, relaxed with PBE.
Kinematic intensities with the Lorentz-polarization factor, no thermal factor.

Crystal structure
a = 5.503 Å, b = 5.503 Å, c = 7.701 Å
α = 90.00°, β = 90.00°, γ = 120.00°
Fractional positions:
Pr  0.000  0.000  0.000
Nd  0.000  0.000  0.500
B  0.333  0.667  0.000
B  0.667  0.333  0.000
Pd  0.333  0.667  0.500
Pd  0.667  0.333  0.500
Pt  0.000  0.500  0.199
Pt  0.000  0.500  0.801
Pt  0.500  0.000  0.199
Pt  0.500  0.000  0.801
Pt  0.500  0.500  0.199
Pt  0.500  0.500  0.801

Most intense lines, 2θ from 5° to 70°, in order of falling intensity:
37.75 deg, intensity 100; 40.28 deg, intensity 65; 29.83 deg, intensity 48; 44.72 deg, intensity 40; 52.39 deg, intensity 33; 34.95 deg, intensity 31; 68.16 deg, intensity 28; 39.59 deg, intensity 21; 63.33 deg, intensity 17; 39.89 deg, intensity 17